Starting from the PBE geometry in Alexandria, the powder diffractogram of NaCaYCdF8 was simulated for Cu Kα, 1.54184 Å.
Peak positions follow from Bragg's law for the DFT cell and can differ from measured ones.

Top 10 peaks for 2θ = 10–90°, in order of falling intensity:
two_theta, intensity
28.17, 100
46.88, 56
18.06, 42
46.71, 28
55.44, 28
86.85, 15
55.75, 14
37.48, 11
75.61, 11
29.42, 10

Crystal structure
```
NaCaYCdF8
1.0
-2.7502 2.7502 5.4620
2.7502 -2.7502 5.4620
2.7502 2.7502 -5.4620
Na Ca Y Cd F
1 1 1 1 8
Direct
0.0000 0.0000 0.0000
0.7500 0.2500 0.5000
0.5000 0.5000 0.0000
0.2500 0.7500 0.5000
0.1359 0.1359 0.5205
0.1359 0.6154 0.0000
0.3846 0.3846 0.5205
0.3846 0.8641 0.0000
0.6154 0.1359 0.0000
0.6154 0.6154 0.4795
0.8641 0.3846 0.0000
0.8641 0.8641 0.4795
```

---

Starting from the PBE geometry in Alexandria, the powder diffractogram of RbCaCdF6 was simulated for Cu Kα, 1.54184 Å.
Peak positions follow from Bragg's law for the DFT cell and can differ from measured ones.

Top 10 peaks for 2θ = 10–90°, in order of falling intensity:
two_theta, intensity
26.62, 100
47.57, 61
27.74, 43
14.37, 39
27.93, 31
28.97, 31
44.08, 30
23.27, 27
27.44, 20
45.47, 20

Crystal structure
```
RbCaCdF6
1.0
-3.7772 3.9894 5.3311
3.7772 -3.9894 5.3311
3.7772 3.9894 -5.3311
Rb Ca Cd F
2 2 2 12
Direct
0.3884 0.1384 0.2500
0.6116 0.8616 0.7500
0.0000 0.0000 0.5000
0.0000 0.5000 0.0000
0.0000 0.5000 0.5000
0.5000 0.5000 0.0000
0.1151 0.8651 0.2500
0.1522 0.4022 0.7500
0.1657 0.4408 0.3259
0.1657 0.8399 0.7250
0.3851 0.1601 0.8259
0.3851 0.5592 0.2250
0.6149 0.4408 0.7750
0.6149 0.8399 0.1741
0.8343 0.1601 0.2750
0.8343 0.5592 0.6741
0.8478 0.5978 0.2500
0.8849 0.1349 0.7500
```

---

Starting from the PBE geometry in Alexandria, the powder diffractogram of SrCa2CdF8 was simulated for Cu Kα, 1.54184 Å.
Peak positions follow from Bragg's law for the DFT cell and can differ from measured ones.

Top 10 peaks for 2θ = 10–90°, in order of falling intensity:
two_theta, intensity
45.86, 100
27.54, 92
27.69, 91
54.31, 52
45.72, 25
54.54, 25
46.10, 24
15.82, 24
84.68, 20
31.99, 18

Crystal structure
```
SrCa2CdF8
1.0
3.9693 0.0000 0.0000
0.0000 5.6032 0.0000
0.0000 0.0000 7.8756
Sr Ca Cd F
1 2 1 8
Direct
0.0000 0.0000 0.0000
0.5000 0.5000 0.2563
0.5000 0.5000 0.7437
0.0000 0.0000 0.5000
0.0000 0.2566 0.2604
0.0000 0.2566 0.7396
0.0000 0.7434 0.2604
0.0000 0.7434 0.7396
0.5000 0.2476 0.5000
0.5000 0.2640 0.0000
0.5000 0.7360 0.0000
0.5000 0.7524 0.5000
```

---

Starting from the PBE geometry in Alexandria, the powder diffractogram of Ca3CdGa2 was simulated for Cu Kα, 1.54184 Å.
Peak positions follow from Bragg's law for the DFT cell and can differ from measured ones.

Top 10 peaks for 2θ = 10–90°, in order of falling intensity:
two_theta, intensity
33.78, 100
34.44, 24
34.55, 23
59.97, 17
61.28, 17
49.58, 16
61.41, 16
24.20, 14
71.05, 10
47.44, 9

Crystal structure
```
Ca3CdGa2
1.0
5.2080 0.0000 0.0000
0.0000 15.5779 0.0000
0.0000 0.0000 3.8326
Ca Cd Ga
6 2 4
Direct
0.0000 0.0000 0.0000
0.0000 0.3283 0.0000
0.0000 0.6717 0.0000
0.5000 0.1717 0.0000
0.5000 0.5000 0.0000
0.5000 0.8283 0.0000
0.0000 0.5000 0.5000
0.5000 0.0000 0.5000
0.0000 0.1636 0.5000
0.0000 0.8364 0.5000
0.5000 0.3364 0.5000
0.5000 0.6636 0.5000
```

---

Starting from the PBE geometry in Alexandria, the powder diffractogram of Ca2Cd5Ga3 was simulated for Cu Kα, 1.54184 Å.
Peak positions follow from Bragg's law for the DFT cell and can differ from measured ones.

Top 10 peaks for 2θ = 10–90°, in order of falling intensity:
two_theta, intensity
41.54, 100
40.60, 89
32.08, 77
32.19, 76
21.31, 53
14.71, 45
42.70, 40
30.00, 34
62.34, 20
76.42, 18

Crystal structure
```
Ca2Cd5Ga3
1.0
-6.0219 6.2709 3.1489
6.0219 -6.2709 3.1489
6.0219 6.2709 -3.1489
Ca Cd Ga
4 10 6
Direct
0.1285 0.2452 0.3737
0.3715 0.7452 0.1167
0.6285 0.2548 0.8833
0.8715 0.7548 0.6263
0.0006 0.2500 0.7506
0.1152 0.6439 0.7590
0.2500 0.2500 0.0000
0.3848 0.1439 0.5287
0.4994 0.2500 0.2494
0.5006 0.7500 0.7506
0.6152 0.8561 0.4713
0.7500 0.7500 0.0000
0.8848 0.3561 0.2410
0.9994 0.7500 0.2494
0.1269 0.8602 0.9871
0.2500 0.7500 0.5000
0.3731 0.3602 0.7333
0.6269 0.6398 0.2667
0.7500 0.2500 0.5000
0.8731 0.1398 0.0129
```

---

Starting from the PBE geometry in Alexandria, the powder diffractogram of Ca2CdGa7 was simulated for Cu Kα, 1.54184 Å.
Peak positions follow from Bragg's law for the DFT cell and can differ from measured ones.

Top 10 peaks for 2θ = 10–90°, in order of falling intensity:
two_theta, intensity
33.26, 100
41.49, 62
43.85, 58
31.68, 28
21.92, 27
15.92, 26
45.76, 23
77.33, 21
70.47, 21
60.12, 20

Crystal structure
```
Ca2CdGa7
1.0
4.3529 0.0000 0.0000
0.0000 4.3529 0.0000
0.0000 0.0000 11.1356
Ca Cd Ga
2 1 7
Direct
0.0000 0.5000 0.2453
0.5000 0.0000 0.7547
0.0000 0.0000 0.5000
0.0000 0.0000 0.0000
0.0000 0.5000 0.6442
0.0000 0.5000 0.8666
0.5000 0.0000 0.1334
0.5000 0.0000 0.3558
0.5000 0.5000 0.0000
0.5000 0.5000 0.5000
```